# 1
Theoretical powder diffraction line list of HoS6Br2 for copper Kα, from the GGA-PBE geometry in Alexandria.
Kinematic intensities with the Lorentz-polarization factor, no thermal factor.

Most intense lines, 5 to 70 degrees two-theta, most intense first:
(0 1 -1), d 7.423, I = 100; (0 0 1), d 8.170, I = 67; (0 1 1), d 4.636, I = 58; (0 1 0), d 7.591, I = 46; (1 1 -2), d 3.136, I = 37; (1 -2 1), d 3.010, I = 34; (0 1 2), d 3.077, I = 30; (0 2 1), d 2.978, I = 24; (1 -3 2), d 2.319, I = 22; (1 2 -3), d 2.416, I = 18

Structural model:
Cell lengths 4.1754, 8.4573, 9.1112 Å; angles 115.94, 93.09, 91.82 degrees
Space group P-1 (No. 2)
Inequivalent atoms, fractional coordinates:
Ho1 0.0000 0.0000 0.0000
S1 0.0979 0.4995 0.7216
S2 0.0999 0.7175 0.4616
S3 0.1241 0.2915 0.2959
Br1 0.4993 0.8612 0.1175

=====

# 2
Theoretical powder diffraction line list of Ho3SBr7 for copper Kα, from the GGA-PBE geometry in Alexandria.
Kinematic intensities with the Lorentz-polarization factor, no thermal factor.

Most intense lines, 5 to 70 degrees two-theta, most intense first:
(0 2 1), d 3.164, I = 100; (0 0 1), d 7.006, I = 83; (0 2 2), d 2.492, I = 71; (2 2 0), d 2.048, I = 37; (2 0 3), d 1.950, I = 33; (2 2 1), d 1.966, I = 20; (1 0 1), d 4.985, I = 20; (1 0 0), d 7.093, I = 18; (4 0 2), d 1.582, I = 17; (4 0 1), d 1.719, I = 16

Structural model:
Cell lengths 8.1907, 8.1907, 7.0060 Å; angles 90.00, 90.00, 120.00 degrees
Space group P3m1 (No. 156)
Inequivalent atoms, fractional coordinates:
Ho1 0.0148 0.5074 0.0000
S1 0.3333 0.6667 0.8085
Br1 0.1711 0.3422 0.2338
Br2 0.3460 0.1730 0.7865
Br3 0.6667 0.3333 0.2359

=====

# 3
Theoretical powder diffraction line list of HoSBr for copper Kα, from the GGA-PBE geometry in Alexandria.
Kinematic intensities with the Lorentz-polarization factor, no thermal factor.

Most intense lines, 5 to 70 degrees two-theta, most intense first:
(1 0 1), d 4.524, I = 100; (2 2 0), d 2.917, I = 98; (1 0 0), d 8.251, I = 66; (2 2 2), d 1.984, I = 64; (2 1 1), d 3.048, I = 56; (0 0 2), d 2.705, I = 41; (4 0 0), d 2.063, I = 35; (3 2 1), d 2.108, I = 34; (4 0 2), d 1.640, I = 34; (4 1 1), d 1.877, I = 19

Structural model:
Cell lengths 8.2511, 8.2511, 5.4102 Å; angles 90.00, 90.00, 90.00 degrees
Space group P4_2/mmc (No. 131)
Inequivalent atoms, fractional coordinates:
Ho1 0.0000 0.2496 0.0000
S1 0.0000 0.2208 0.5000
Br1 0.2314 0.5000 0.0000

=====

# 4
Theoretical powder diffraction line list of HoSnBr5 for copper Kα, from the GGA-PBE geometry in Alexandria.
Kinematic intensities with the Lorentz-polarization factor, no thermal factor.

Most intense lines, 5 to 70 degrees two-theta, most intense first:
(1 0 -1), d 7.439, I = 100; (2 1 0), d 2.992, I = 28; (1 1 -3), d 2.982, I = 25; (1 1 2), d 3.285, I = 25; (2 1 4), d 2.207, I = 23; (0 2 0), d 2.127, I = 20; (3 0 -5), d 2.046, I = 16; (2 1 -4), d 2.325, I = 15; (2 1 -2), d 2.800, I = 15; (1 1 1), d 3.629, I = 14

Structural model:
Cell lengths 8.4398, 4.2535, 13.9020 Å; angles 90.00, 94.16, 90.00 degrees
Space group P2_1/m (No. 11)
Inequivalent atoms, fractional coordinates:
Ho1 0.0887 0.2500 0.1462
Sn1 0.4043 0.7500 0.3640
Br1 0.1037 0.2500 0.7978
Br2 0.1445 0.2500 0.3585
Br3 0.1753 0.7500 0.0138
Br4 0.3536 0.7500 0.5685
Br5 0.4149 0.2500 0.1784

=====

# 5
Theoretical powder diffraction line list of HoTlSnBr6 for copper Kα, from the GGA-PBE geometry in Alexandria.
Kinematic intensities with the Lorentz-polarization factor, no thermal factor.

Most intense lines, 5 to 70 degrees two-theta, most intense first:
(1 0 1), d 4.834, I = 100; (2 -1 2), d 2.601, I = 88; (2 -1 1), d 3.342, I = 55; (3 0 0), d 2.180, I = 42; (3 -1 1), d 2.337, I = 36; (2 0 1), d 2.976, I = 26; (2 2 2), d 1.671, I = 21; (3 0 4), d 1.385, I = 18; (3 1 1), d 1.759, I = 17; (2 1 3), d 1.719, I = 14

Structural model:
Cell lengths 7.5529, 7.5529, 7.1760 Å; angles 90.00, 90.00, 120.00 degrees
Space group P312 (No. 149)
Inequivalent atoms, fractional coordinates:
Ho1 0.0000 0.0000 0.0000
Tl1 0.3333 0.6667 0.5000
Sn1 0.6667 0.3333 0.0000
Br1 0.3136 0.0223 0.2264

=====

# 6
Theoretical powder diffraction line list of Ho3Te3Br for copper Kα, from the GGA-PBE geometry in Alexandria.
Kinematic intensities with the Lorentz-polarization factor, no thermal factor.

Most intense lines, 5 to 70 degrees two-theta, most intense first:
(1 1 0), d 3.059, I = 100; (1 1 4), d 2.112, I = 65; (0 0 4), d 2.919, I = 41; (2 0 0), d 2.163, I = 38; (2 0 4), d 1.738, I = 35; (0 0 1), d 11.677, I = 27; (3 1 0), d 1.368, I = 17; (2 2 4), d 1.355, I = 15; (1 1 3), d 2.405, I = 15; (0 0 3), d 3.892, I = 13

Structural model:
Cell lengths 4.3254, 4.3254, 11.6767 Å; angles 90.00, 90.00, 90.00 degrees
Space group P4/mmm (No. 123)
Inequivalent atoms, fractional coordinates:
Ho1 0.0000 0.0000 0.0000
Ho2 0.5000 0.5000 0.2607
Te1 0.0000 0.0000 0.2682
Te2 0.5000 0.5000 0.0000
Br1 0.5000 0.5000 0.5000

=====

# 7
Theoretical powder diffraction line list of HoZn3Br9 for copper Kα, from the GGA-PBE geometry in Alexandria.
Kinematic intensities with the Lorentz-polarization factor, no thermal factor.

Most intense lines, 5 to 70 degrees two-theta, most intense first:
(1 1 1), d 5.470, I = 100; (2 2 -3), d 3.210, I = 47; (5 1 -2), d 3.448, I = 40; (3 1 -2), d 4.931, I = 31; (1 1 -1), d 7.683, I = 29; (2 0 2), d 3.366, I = 28; (4 2 0), d 2.873, I = 27; (7 1 -1), d 2.262, I = 26; (3 1 -3), d 4.013, I = 26; (0 2 2), d 3.498, I = 26

Structural model:
Cell lengths 18.6035, 9.4097, 13.4081 Å; angles 90.00, 128.72, 90.00 degrees
Space group Cc (No. 9)
Inequivalent atoms, fractional coordinates:
Ho1 0.0000 0.2282 0.0000
Zn1 0.1392 0.1179 0.8261
Zn2 0.2295 0.4284 0.7119
Zn3 0.3579 0.0751 0.6646
Br1 0.0083 0.0808 0.8239
Br2 0.1109 0.3490 0.7250
Br3 0.1444 0.0634 0.2003
Br4 0.1533 0.3758 0.0555
Br5 0.2410 0.2597 0.5825
Br6 0.2988 0.1317 0.0243
Br7 0.3618 0.4789 0.4201
Br8 0.4033 0.0228 0.3682
Br9 0.4884 0.1863 0.6918

=====

# 8
Theoretical powder diffraction line list of I2Br for copper Kα, from the GGA-PBE geometry in Alexandria.
Kinematic intensities with the Lorentz-polarization factor, no thermal factor.

Most intense lines, 5 to 70 degrees two-theta, most intense first:
(1 0 1), d 4.419, I = 100; (0 1 -1), d 4.599, I = 55; (1 0 2), d 3.751, I = 47; (0 2 -2), d 2.299, I = 35; (2 0 2), d 2.210, I = 31; (1 0 -1), d 4.508, I = 30; (-1 2 1), d 2.682, I = 29; (1 0 -3), d 3.201, I = 26; (0 1 0), d 4.824, I = 25; (1 0 3), d 3.108, I = 22

Structural model:
Cell lengths 5.4910, 5.5543, 12.6280 Å; angles 92.97, 90.07, 119.53 degrees
Space group P1 (No. 1)
Inequivalent atoms, fractional coordinates:
I1 0.0000 0.0000 0.0000
I2 0.1702 0.3392 0.3492
I3 0.3622 0.1693 0.6747
I4 0.7691 0.1699 0.1745
Br1 0.1942 0.8049 0.8310
Br2 0.5593 0.5335 0.5182

=====

# 9
Theoretical powder diffraction line list of I4Br for copper Kα, from the GGA-PBE geometry in Alexandria.
Kinematic intensities with the Lorentz-polarization factor, no thermal factor.

Most intense lines, 5 to 70 degrees two-theta, most intense first:
(0 1 2), d 4.415, I = 100; (1 0 1), d 5.752, I = 97; (2 2 2), d 2.846, I = 96; (1 2 0), d 3.715, I = 64; (2 0 -2), d 2.833, I = 47; (2 1 1), d 3.572, I = 33; (2 0 4), d 2.213, I = 27; (2 2 -4), d 2.137, I = 27; (2 4 0), d 1.858, I = 27; (0 0 2), d 5.909, I = 25

Structural model:
Cell lengths 7.4347, 7.4356, 11.8242 Å; angles 88.65, 88.34, 61.41 degrees
Space group P1 (No. 1)
Inequivalent atoms, fractional coordinates:
I1 0.0000 0.0000 0.0000
I2 0.0049 0.4970 0.0071
I3 0.3027 0.8619 0.8314
I4 0.3085 0.3586 0.8390
I5 0.3370 0.8293 0.3333
I6 0.4746 0.5243 0.4992
I7 0.8349 0.8333 0.3398
I8 0.9727 0.5277 0.5053
Br1 0.6230 0.2094 0.6680
Br2 0.6864 0.1491 0.1715

=====

# 10
Theoretical powder diffraction line list of I2Br for copper Kα, from the GGA-PBE geometry in Alexandria.
Kinematic intensities with the Lorentz-polarization factor, no thermal factor.

Most intense lines, 5 to 70 degrees two-theta, most intense first:
(0 1 -1), d 5.053, I = 100; (1 0 -1), d 4.430, I = 87; (1 0 0), d 5.190, I = 51; (0 1 2), d 4.472, I = 40; (1 1 3), d 3.062, I = 40; (1 -1 0), d 3.909, I = 28; (2 0 -1), d 2.443, I = 26; (0 1 3), d 3.372, I = 26; (0 1 0), d 6.248, I = 25; (0 2 -1), d 2.875, I = 25

Structural model:
Cell lengths 5.2597, 6.3529, 11.0871 Å; angles 79.86, 80.99, 85.97 degrees
Space group P1 (No. 1)
Inequivalent atoms, fractional coordinates:
I1 0.0000 0.0000 0.0000
I2 0.0667 0.2479 0.2479
I3 0.2197 0.3703 0.4547
I4 0.3944 0.5340 0.6881
Br1 0.3138 0.9343 0.5834
Br2 0.5312 0.0107 0.9269